Structure and computed powder diffraction line list of TbHo2Cu4Si2Ge2 (the PBE geometry in OQMD; Cu Kα (λ = 1.5418 Å)).
Kinematic intensities with the Lorentz-polarization factor, no thermal factor.

Structural model:
```
TbHo2Cu4Si2Ge2
1.0
-2.0852 3.2996 6.8909
2.0852 -3.2996 6.8909
2.0852 3.2996 -6.8909
Tb Ho Cu Si Ge
1 2 4 2 2
direct
0.0000 0.0000 0.0000 Tb
0.3706 0.8706 0.5000 Ho
0.6294 0.1294 0.5000 Ho
0.0268 0.3365 0.6903 Cu
0.3538 0.6635 0.6903 Cu
0.6462 0.3365 0.3097 Cu
0.9732 0.6635 0.3097 Cu
0.3173 0.5000 0.8173 Si
0.6827 0.5000 0.1827 Si
0.2173 0.2173 0.0000 Ge
0.7827 0.7827 0.0000 Ge
```

Principal peaks in the range 2θ from 10° to 80°, low angle first:
| 2theta | intensity |
| --- | --- |
| 22.27 | 16 |
| 23.60 | 12 |
| 27.02 | 18 |
| 35.29 | 100 |
| 36.46 | 93 |
| 39.99 | 19 |
| 43.40 | 30 |
| 45.73 | 21 |
| 57.12 | 14 |
| 64.87 | 23 |